[1]
This entry pairs a crystal structure of Pr4YIn4 with its calculated XRD peak list. Radiation: Cu Kα X-rays. Structure: a cell relaxed with PBE.

Structure:
a b c (Å): 7.341 7.341 10.863
angles (deg): 90.00 90.00 90.00
Sites, in units of the cell vectors:
Pr (0.028, 0.250, 0.178)
Pr (0.250, 0.028, 0.678)
Pr (0.250, 0.472, 0.678)
Pr (0.472, 0.250, 0.178)
Pr (0.528, 0.750, 0.822)
Pr (0.750, 0.528, 0.322)
Pr (0.750, 0.972, 0.322)
Pr (0.972, 0.750, 0.822)
Y (0.250, 0.750, 0.250)
Y (0.750, 0.250, 0.750)
In (0.000, 0.250, 0.485)
In (0.000, 0.750, 0.515)
In (0.250, 0.000, 0.985)
In (0.250, 0.500, 0.985)
In (0.500, 0.250, 0.485)
In (0.500, 0.750, 0.515)
In (0.750, 0.000, 0.015)
In (0.750, 0.500, 0.015)

Top 8 peaks for 2θ = 10–90°, by intensity:
2theta	intensity
34.80	100.0
28.40	55.3
34.56	43.2
62.08	31.7
49.68	20.6
20.34	19.2
62.55	17.7
35.24	16.6

[2]
This entry pairs a crystal structure of Pr5YIn6 with its calculated XRD peak list. Radiation: Cu Kα X-rays. Structure: a cell relaxed with PBE.

Structure:
a b c (Å): 9.501 9.501 5.486
angles (deg): 106.76 106.76 120.04
Sites, in units of the cell vectors:
Pr (0.000, 0.000, 0.000)
Pr (0.164, 0.836, 0.500)
Pr (0.328, 0.672, 0.000)
Pr (0.672, 0.328, 0.000)
Pr (0.836, 0.164, 0.500)
Y (0.500, 0.500, 0.500)
In (0.094, 0.420, 0.257)
In (0.264, 0.264, 0.764)
In (0.420, 0.094, 0.257)
In (0.580, 0.906, 0.743)
In (0.736, 0.736, 0.236)
In (0.906, 0.580, 0.743)

Top 8 peaks for 2θ = 10–90°, by intensity:
2theta	intensity
32.65	100.0
58.27	36.5
46.84	17.9
77.88	15.1
68.41	11.0
87.02	3.9
29.48	0.7
22.93	0.5

[3]
This entry pairs a crystal structure of Pr3Zn4In with its calculated XRD peak list. Radiation: Cu Kα X-rays. Structure: a cell relaxed with PBE.

Structure:
a b c (Å): 8.898 8.898 8.898
angles (deg): 155.06 135.06 52.08
Sites, in units of the cell vectors:
Pr (0.000, 0.000, 0.000)
Pr (0.300, 0.800, 0.500)
Pr (0.700, 0.200, 0.500)
Zn (0.067, 0.374, 0.693)
Zn (0.319, 0.626, 0.693)
Zn (0.681, 0.374, 0.307)
Zn (0.933, 0.626, 0.307)
In (0.500, 0.500, 0.000)

Top 8 peaks for 2θ = 10–90°, by intensity:
2theta	intensity
28.92	100.0
34.63	41.2
36.55	28.1
66.97	24.9
47.95	24.1
39.20	23.8
30.90	18.7
47.30	18.2

[4]
This entry pairs a crystal structure of PrZnIn6 with its calculated XRD peak list. Radiation: Cu Kα X-rays. Structure: a cell relaxed with PBE.

Structure:
a b c (Å): 6.906 6.906 4.299
angles (deg): 90.00 90.00 90.00
Sites, in units of the cell vectors:
Pr (0.000, 0.000, 0.000)
Zn (0.500, 0.500, 0.000)
In (0.000, 0.500, 0.000)
In (0.270, 0.270, 0.500)
In (0.270, 0.730, 0.500)
In (0.500, 0.000, 0.000)
In (0.730, 0.270, 0.500)
In (0.730, 0.730, 0.500)

Top 8 peaks for 2θ = 10–90°, by intensity:
2theta	intensity
33.28	100.0
36.81	36.8
64.07	25.3
57.08	19.9
42.03	13.4
53.04	11.7
71.24	10.4
69.88	10.0

[5]
This entry pairs a crystal structure of Pr2Zn6In with its calculated XRD peak list. Radiation: Cu Kα X-rays. Structure: a cell relaxed with PBE.

Structure:
a b c (Å): 5.967 5.967 5.941
angles (deg): 90.00 90.00 120.00
Sites, in units of the cell vectors:
Pr (0.333, 0.667, 0.157)
Pr (0.667, 0.333, 0.843)
Zn (0.182, 0.365, 0.650)
Zn (0.182, 0.818, 0.650)
Zn (0.365, 0.182, 0.350)
Zn (0.635, 0.818, 0.650)
Zn (0.818, 0.182, 0.350)
Zn (0.818, 0.635, 0.350)
In (0.000, 0.000, 0.000)

Top 8 peaks for 2θ = 10–90°, by intensity:
2theta	intensity
37.98	100.0
34.84	77.9
33.61	63.5
62.24	27.6
29.95	25.5
56.38	22.5
67.34	22.2
55.55	18.0

[6]
This entry pairs a crystal structure of Pr2ZnIn with its calculated XRD peak list. Radiation: Cu Kα X-rays. Structure: a cell relaxed with PBE.

Structure:
a b c (Å): 3.766 3.766 7.809
angles (deg): 90.00 90.00 90.00
Sites, in units of the cell vectors:
Pr (0.000, 0.000, 0.231)
Pr (0.000, 0.000, 0.769)
Zn (0.500, 0.500, 0.000)
In (0.500, 0.500, 0.500)

Top 8 peaks for 2θ = 10–90°, by intensity:
2theta	intensity
33.05	100.0
33.65	49.2
59.80	35.5
48.33	17.6
58.63	17.0
69.33	10.2
46.52	8.6
80.68	7.7